Cs2PuTe3: simulated powder XRD pattern (Cu Kα (λ = 1.5418 Å)), based on a crystal structure in OQMD, relaxed with GGA-PBE.
No peak broadening, texture or thermal motion is included.

The 10 most intense peaks (2θ = 10–90°), in order of rising 2θ:
hkl 1 1 0, 2θ = 10.51°, I = 64; hkl 0 2 1, 2θ = 20.31°, I = 35; hkl 3 1 1, 2θ = 23.23°, I = 100; hkl 2 0 2, 2θ = 25.26°, I = 23; hkl 1 3 0, 2θ = 26.48°, I = 35; hkl 1 3 1, 2θ = 28.72°, I = 26; hkl 3 1 2, 2θ = 30.17°, I = 66; hkl 6 0 0, 2θ = 37.60°, I = 30; hkl 4 2 2, 2θ = 37.72°, I = 26; hkl 3 1 3, 2θ = 39.30°, I = 25

Structure:
```
data_Cs2PuTe3
_space_group_name_H-M_alt 'C m c m'
_space_group_IT_number 63
_space_group_name_Hall '-C 2c 2'
_cell_length_a 14.3488
_cell_length_b 10.3878
_cell_length_c 8.0974
_cell_angle_alpha 90.00
_cell_angle_beta 90.00
_cell_angle_gamma 90.00
loop_
_atom_site_label
_atom_site_type_symbol
_atom_site_fract_x
_atom_site_fract_y
_atom_site_fract_z
Cs1 Cs 0.1543 0.1649 0.2500
Pu1 Pu 0.0000 0.4194 0.7500
Te1 Te 0.0000 0.1406 0.7500
Te2 Te 0.1451 0.5000 0.0000
```